(1)
Simulated X-ray powder pattern
Compound: Hf2VS4
Radiation: Cu Kα, 1.54184 Å
Structure: DFT lattice parameters and positions (PBE)

Main lines, most intense first (2θ from 10° to 80°):
2theta	I/Imax
14.7	100
42.3	76
33.1	75
29.5	54
32.7	32
51.8	27

Atomic structure:
```
7
Lattice="6.7429 -1.7436 0.0000 6.7429 1.7436 0.0000 -2.7776 0.0000 5.4818" Properties=species:S:1:pos:R:3 pbc="T T T"
Hf 2.5936 0.0000 1.3917
Hf 8.1146 0.0000 4.0901
V 5.3541 0.0000 2.7409
S -0.5529 0.0000 4.2973
S 3.2000 0.0000 3.8810
S 7.5082 0.0000 1.6009
S 11.2611 0.0000 1.1846
```

***

(2)
Simulated X-ray powder pattern
Compound: Y3Zn9Si2
Radiation: Cu Kα, 1.54184 Å
Structure: DFT lattice parameters and positions (PBE)

Main lines, most intense first (2θ from 10° to 80°):
2theta	I/Imax
35.8	100
34.9	59
42.5	40
44.8	21
43.7	21
30.5	21

Atomic structure:
```
14
Lattice="-2.1293 4.8358 6.0648 2.1293 -4.8358 6.0648 2.1293 4.8358 -6.0648" Properties=species:S:1:pos:R:3 pbc="T T T"
Y 0.0000 0.0000 0.0000
Y 0.0000 0.0000 3.7901
Y 0.0000 0.0000 8.3395
Zn 2.1293 -1.2477 1.9606
Zn 2.1293 -2.1913 4.3850
Zn 2.1293 1.2477 1.9606
Zn 0.0000 2.6444 1.6798
Zn 0.0000 4.8358 0.0000
Zn 2.1293 2.1913 4.3850
Zn 0.0000 3.5880 4.1042
Zn 0.0000 7.0271 1.6798
Zn 0.0000 6.0835 4.1042
Si 2.1293 2.7919 0.0000
Si 0.0000 2.0439 6.0648
```

***

(3)
Simulated X-ray powder pattern
Compound: Y4Sb2H
Radiation: Cu Kα, 1.54184 Å
Structure: DFT lattice parameters and positions (PBE)

Main lines, most intense first (2θ from 10° to 80°):
2theta	I/Imax
30.3	100
35.6	79
31.5	78
35.2	60
29.2	57
32.0	51

Atomic structure:
```
14
Lattice="6.4594 0.0000 0.0000 0.0000 6.4037 0.0000 -2.7256 0.0000 8.3983" Properties=species:S:1:pos:R:3 pbc="T T T"
Y -0.6414 0.0152 2.4823
Y -0.6414 3.1866 2.4823
Y 2.1419 4.8028 0.5161
Y 1.0290 4.8028 5.4337
Y 2.7048 1.6009 2.9646
Y 1.5919 1.6009 7.8822
Y 4.3753 3.2171 5.9160
Y 4.3753 6.3885 5.9160
Sb 1.1920 1.6009 0.2724
Sb 0.4724 1.6009 5.0204
Sb 3.2614 4.8028 3.3779
Sb 2.5419 4.8028 8.1259
H -0.7709 4.8028 6.7099
H 4.5047 1.6009 1.6884
```

***

(4)
Simulated X-ray powder pattern
Compound: Nd3AgN
Radiation: Cu Kα, 1.54184 Å
Structure: DFT lattice parameters and positions (PBE)

Main lines, most intense first (2θ from 10° to 80°):
2theta	I/Imax
32.6	100
30.8	95
30.2	74
32.1	65
31.2	45
56.6	45

Atomic structure:
```
10
Lattice="1.8559 -6.7515 0.0000 1.8559 6.7515 0.0000 0.0000 0.0000 9.8898" Properties=species:S:1:pos:R:3 pbc="T T T"
Nd 1.8559 6.0165 7.4173
Nd 1.8559 1.6343 5.4910
Nd 1.8559 1.6343 9.3437
Nd 1.8559 -1.6343 0.5461
Nd 1.8559 -1.6343 4.3988
Nd 1.8559 -6.0165 2.4724
Ag 1.8559 3.3568 2.4724
Ag 1.8559 -3.3568 7.4173
N 0.0000 0.0000 0.0000
N 0.0000 0.0000 4.9449
```

***

(5)
Simulated X-ray powder pattern
Compound: NdZn11Fe
Radiation: Cu Kα, 1.54184 Å
Structure: DFT lattice parameters and positions (PBE)

Main lines, most intense first (2θ from 10° to 80°):
2theta	I/Imax
40.3	100
40.5	45
45.5	23
40.7	22
34.8	18
34.7	15

Atomic structure:
```
13
Lattice="2.5605 -6.3506 0.0000 2.5605 6.3506 0.0000 -2.5194 0.0000 6.3250" Properties=species:S:1:pos:R:3 pbc="T T T"
Nd 0.0000 0.0000 0.0000
Zn -1.2597 0.0000 3.1625
Zn 1.2802 3.1753 0.0000
Zn 0.1059 2.1989 2.2772
Zn 0.0589 1.4018 4.9013
Zn 0.1059 -2.1989 2.2772
Zn 2.5427 1.4018 1.4237
Zn 1.2802 -3.1753 0.0000
Zn 0.0589 -1.4018 4.9013
Zn 2.4956 2.1989 4.0478
Zn 2.5427 -1.4018 1.4237
Zn 2.4956 -2.1989 4.0478
Fe 1.3008 0.0000 3.1625
```

***

(6)
Simulated X-ray powder pattern
Compound: Ho2Si5Pt3
Radiation: Cu Kα, 1.54184 Å
Structure: DFT lattice parameters and positions (PBE)

Main lines, most intense first (2θ from 10° to 80°):
2theta	I/Imax
34.6	100
43.8	66
25.2	44
32.0	40
36.4	32
27.9	26

Atomic structure:
```
20
Lattice="5.8298 -5.6720 0.0000 5.8298 5.6720 0.0000 -3.1072 0.0000 5.1743" Properties=species:S:1:pos:R:3 pbc="T T T"
Ho 1.9622 1.4661 1.1817
Ho 0.4086 -1.4661 3.7689
Ho 8.1438 1.4661 1.4054
Ho 6.5902 -1.4661 3.9925
Si 5.0530 -5.6698 1.2936
Si 3.4994 5.6698 3.8807
Si 1.4322 1.2867 4.3912
Si 5.0530 2.5891 1.2936
Si 3.4994 2.5914 3.8807
Si 2.9859 -1.2867 1.8041
Si 5.5665 1.2867 3.3702
Si 5.0530 -2.5914 1.2936
Si 3.4994 -2.5891 3.8807
Si 7.1202 -1.2867 0.7831
Pt 3.3023 4.1156 1.9998
Pt 6.8037 4.1156 0.5873
Pt 5.0530 0.0045 1.2936
Pt 3.4994 -0.0045 3.8807
Pt 1.7487 -4.1156 4.5869
Pt 5.2501 -4.1156 3.1745
```

***

(7)
Simulated X-ray powder pattern
Compound: Tm2UFe3
Radiation: Cu Kα, 1.54184 Å
Structure: DFT lattice parameters and positions (PBE)

Main lines, most intense first (2θ from 10° to 80°):
2theta	I/Imax
33.4	100
43.1	96
29.4	93
38.0	79
44.4	74
39.6	66

Atomic structure:
```
12
Lattice="5.0362 0.0000 0.0000 0.0000 10.6643 0.0000 0.0000 0.0000 4.0761" Properties=species:S:1:pos:R:3 pbc="T T T"
Tm 1.0988 2.2481 0.0000
Tm 1.4193 7.5803 2.0381
Tm 3.6169 3.0840 2.0381
Tm 3.9375 8.4162 0.0000
U 0.0000 5.3322 0.0000
U 2.5181 0.0000 2.0381
Fe 0.0000 0.0000 2.0381
Fe 1.1196 4.6366 2.0381
Fe 1.3985 9.9687 0.0000
Fe 2.5181 5.3322 0.0000
Fe 3.6377 0.6956 0.0000
Fe 3.9166 6.0278 2.0381
```

***

(8)
Simulated X-ray powder pattern
Compound: Hf6Ti2Pb3
Radiation: Cu Kα, 1.54184 Å
Structure: DFT lattice parameters and positions (PBE)

Main lines, most intense first (2θ from 10° to 80°):
2theta	I/Imax
35.5	100
36.9	54
37.9	21
35.1	20
29.3	18
41.1	17

Atomic structure:
```
11
Lattice="-1.5806 2.5306 15.2609 1.5806 -2.5306 15.2609 1.5806 2.5306 -15.2609" Properties=species:S:1:pos:R:3 pbc="T T T"
Hf 0.0000 0.0000 2.9230
Hf 1.5806 0.0000 8.6796
Hf 0.0000 0.0000 11.4292
Hf 0.0000 0.0000 19.0927
Hf 0.0000 2.5306 6.5814
Hf 0.0000 0.0000 27.5989
Ti 1.5806 0.0000 13.8890
Ti 0.0000 2.5306 1.3719
Pb 1.5806 0.0000 0.0000
Pb 1.5806 0.0000 5.6960
Pb 0.0000 2.5306 9.5649
```

***

(9)
Simulated X-ray powder pattern
Compound: LaCo3
Radiation: Cu Kα, 1.54184 Å
Structure: DFT lattice parameters and positions (PBE)

Main lines, most intense first (2θ from 10° to 80°):
2theta	I/Imax
37.3	100
34.1	45
40.8	43
32.5	39
40.5	34
37.0	27

Atomic structure:
```
16
Lattice="7.2423 0.0000 0.0000 0.0000 6.5523 0.0000 0.0000 0.0000 5.5503" Properties=species:S:1:pos:R:3 pbc="T T T"
La 0.2259 1.6381 0.6879
La 3.3953 4.9142 3.4630
La 3.8470 1.6381 2.0873
La 7.0164 4.9142 4.8624
Co 0.9792 4.9142 1.8924
Co 1.0718 0.4273 3.2532
Co 1.0718 2.8488 3.2532
Co 2.5493 3.7034 0.4780
Co 2.5493 6.1250 0.4780
Co 2.6420 1.6381 4.6676
Co 4.6003 4.9142 0.8827
Co 4.6930 0.4273 5.0723
Co 4.6930 2.8488 5.0723
Co 6.1704 3.7034 2.2971
Co 6.1704 6.1250 2.2971
Co 6.2631 1.6381 3.6578
```

***

(10)
Simulated X-ray powder pattern
Compound: Rb2BaInSb2
Radiation: Cu Kα, 1.54184 Å
Structure: DFT lattice parameters and positions (PBE)

Main lines, most intense first (2θ from 10° to 80°):
2theta	I/Imax
27.2	100
26.5	50
25.7	46
31.6	45
35.3	41
49.3	38

Atomic structure:
```
12
Lattice="5.0866 0.0000 0.0000 0.0000 10.2196 0.0000 0.0000 0.0000 9.4577" Properties=species:S:1:pos:R:3 pbc="T T T"
Rb 0.0000 0.8871 0.0000
Rb 0.0000 9.3325 4.7288
Rb 2.5433 1.7577 3.0955
Rb 2.5433 8.4618 7.8243
Ba 2.5433 4.6645 8.9747
Ba 2.5433 5.5550 4.2458
In 0.0000 3.2771 5.8574
In 0.0000 6.9425 1.1286
Sb 0.0000 4.1639 2.1390
Sb 0.0000 6.0557 6.8679
Sb 2.5433 1.8446 6.7485
Sb 2.5433 8.3750 2.0196
```